Structure and theoretical X-ray powder pattern of SrCdRe2O8 (a DFT-relaxed cell (PBE, Alexandria); Cu Kα X-rays).
Neutral-atom scattering factors, no anomalous dispersion.

Cell and atoms:
```
data_SrCdRe2O8
_chemical_formula_sum 'Sr2 Cd2 Re4 O16'
_space_group_name_H-M_alt 'C 1 2/m 1'
_space_group_IT_number 12
_cell_length_a 7.807
_cell_length_b 6.570
_cell_length_c 7.380
_cell_angle_alpha 90.00
_cell_angle_beta 94.46
_cell_angle_gamma 90.00
loop_
_space_group_symop_operation_xyz
'x,y,z'
'-x,-y,-z'
'-x,y,-z'
'x,-y,z'
'x+1/2,y+1/2,z'
'-x+1/2,-y+1/2,-z'
'-x+1/2,y+1/2,-z'
'x+1/2,-y+1/2,z'
loop_
_atom_site_label
_atom_site_type_symbol
_atom_site_fract_x
_atom_site_fract_y
_atom_site_fract_z
_atom_site_occupancy
Sr1 Sr 0.000 0.000 0.000 1
Cd1 Cd 0.000 0.000 0.500 1
Re1 Re 0.060 0.500 0.706 1
O1 O 0.008 0.233 0.276 1
O2 O 0.178 0.500 0.500 1
O3 O 0.184 0.500 0.919 1
```

Top 12 peaks for 2θ from 5° to 70°, in order of falling intensity:
2θ 22.85, 3.892 Å, intensity 100, hkl 2 0 0; 2θ 30.84, 2.899 Å, intensity 100, hkl 1 1 2; 2θ 27.14, 3.285 Å, intensity 87, hkl 0 2 0; 2θ 29.37, 3.041 Å, intensity 77, hkl 1 1 -2; 2θ 20.91, 4.248 Å, intensity 47, hkl 1 1 -1; 2θ 25.04, 3.556 Å, intensity 42, hkl 2 0 -1; 2θ 46.47, 1.954 Å, intensity 38, hkl 3 1 2; 2θ 40.13, 2.247 Å, intensity 38, hkl 1 1 -3; 2θ 17.67, 5.021 Å, intensity 37, hkl 1 1 0; 2θ 12.03, 7.358 Å, intensity 36, hkl 0 0 1; 2θ 35.77, 2.510 Å, intensity 34, hkl 2 2 0; 2θ 37.26, 2.413 Å, intensity 32, hkl 2 2 -1